Theoretical X-ray powder pattern
Compound: La2ZnSe2O2
Radiation: CuKα
Structure: a cell relaxed with PBE
No peak broadening, texture or thermal motion is included.

Top 10 peaks for 2θ from 5° to 70°, most intense first:
2θ/deg	Rel. int.
29.58	100
54.31	34
31.03	28
44.46	27
51.56	24
37.05	17
32.63	9
46.11	9
9.84	8
37.24	7

Atomic structure:
```
data_La2ZnSe2O2
_cell_length_a 14.618
_cell_length_b 14.618
_cell_length_c 5.765
_cell_angle_alpha 90.00
_cell_angle_beta 90.00
_cell_angle_gamma 75.92
_space_group_name_H-M_alt 'P 1'
_space_group_IT_number 1
loop_
_space_group_symop_operation_xyz
'x,y,z'
loop_
_atom_site_label
_atom_site_type_symbol
_atom_site_fract_x
_atom_site_fract_y
_atom_site_fract_z
_atom_site_occupancy
La1 La 0.057 0.693 0.269 1
La2 La 0.069 0.431 0.250 1
La3 La 0.181 0.819 0.773 1
La4 La 0.193 0.557 0.769 1
La5 La 0.307 0.943 0.269 1
La6 La 0.319 0.681 0.273 1
La7 La 0.431 0.069 0.750 1
La8 La 0.443 0.807 0.769 1
La9 La 0.557 0.193 0.231 1
La10 La 0.569 0.931 0.250 1
La11 La 0.681 0.319 0.727 1
La12 La 0.693 0.057 0.731 1
La13 La 0.807 0.443 0.231 1
La14 La 0.819 0.181 0.227 1
La15 La 0.931 0.569 0.750 1
La16 La 0.943 0.307 0.731 1
Zn1 Zn 0.070 0.070 0.500 1
Zn2 Zn 0.190 0.190 0.000 1
Zn3 Zn 0.310 0.310 0.500 1
Zn4 Zn 0.430 0.430 0.000 1
Zn5 Zn 0.570 0.570 0.000 1
Zn6 Zn 0.690 0.690 0.500 1
Zn7 Zn 0.810 0.810 0.000 1
Zn8 Zn 0.930 0.930 0.500 1
Se1 Se 0.042 0.210 0.237 1
Se2 Se 0.084 0.916 0.288 1
Se3 Se 0.166 0.334 0.750 1
Se4 Se 0.210 0.042 0.763 1
Se5 Se 0.290 0.458 0.263 1
Se6 Se 0.334 0.166 0.250 1
Se7 Se 0.416 0.584 0.788 1
Se8 Se 0.458 0.290 0.737 1
Se9 Se 0.542 0.710 0.263 1
Se10 Se 0.584 0.416 0.212 1
Se11 Se 0.666 0.834 0.750 1
Se12 Se 0.710 0.542 0.737 1
Se13 Se 0.790 0.958 0.237 1
Se14 Se 0.834 0.666 0.250 1
Se15 Se 0.916 0.084 0.712 1
Se16 Se 0.958 0.790 0.763 1
O1 O 0.060 0.565 0.009 1
O2 O 0.065 0.560 0.509 1
O3 O 0.187 0.688 0.023 1
O4 O 0.188 0.687 0.523 1
O5 O 0.312 0.813 0.023 1
O6 O 0.313 0.812 0.523 1
O7 O 0.435 0.940 0.009 1
O8 O 0.440 0.935 0.509 1
O9 O 0.560 0.065 0.491 1
O10 O 0.565 0.060 0.991 1
O11 O 0.687 0.188 0.477 1
O12 O 0.688 0.187 0.977 1
O13 O 0.812 0.313 0.477 1
O14 O 0.813 0.312 0.977 1
O15 O 0.935 0.440 0.491 1
O16 O 0.940 0.435 0.991 1
```